No. 1
Computed powder diffractogram
Compound: AcPrRhAu
Radiation: Cu Kα, 1.54184 Å
Structure: a cell relaxed with PBE
Lines closer than 0.1° are merged.

```
data_AcPrRhAu
_space_group_name_H-M_alt 'P 1'
_space_group_IT_number 1
_cell_length_a 4.7588
_cell_length_b 5.8777
_cell_length_c 5.8777
_cell_angle_alpha 40.79
_cell_angle_beta 90.00
_cell_angle_gamma 90.00
loop_
_space_group_symop_operation_xyz
'x,y,z'
loop_
_atom_site_label
_atom_site_type_symbol
_atom_site_fract_x
_atom_site_fract_y
_atom_site_fract_z
_atom_site_occupancy
Ac1 Ac 0.0000 0.0000 0.0000 1
Pr1 Pr 0.5000 0.7214 0.7214 1
Rh1 Rh 0.0000 0.2625 0.2625 1
Au1 Au 0.5000 0.4361 0.4361 1
```

The 12 most intense peaks (10° ≤ 2θ ≤ 80°), by angle:
16.09 deg, intensity 13
29.90 deg, intensity 100
32.50 deg, intensity 24
32.75 deg, intensity 20
37.78 deg, intensity 50
37.95 deg, intensity 59
44.22 deg, intensity 19
50.70 deg, intensity 14
50.85 deg, intensity 17
59.53 deg, intensity 27
63.45 deg, intensity 12
76.14 deg, intensity 13


No. 2
Computed powder diffractogram
Compound: NaZrS3
Radiation: Cu Kα, 1.54184 Å
Structure: a cell relaxed with PBE
Lines closer than 0.1° are merged.

```
data_NaZrS3
_space_group_name_H-M_alt 'P 1'
_space_group_IT_number 1
_cell_length_a 9.4869
_cell_length_b 9.4869
_cell_length_c 7.0715
_cell_angle_alpha 90.00
_cell_angle_beta 90.00
_cell_angle_gamma 157.17
loop_
_space_group_symop_operation_xyz
'x,y,z'
loop_
_atom_site_label
_atom_site_type_symbol
_atom_site_fract_x
_atom_site_fract_y
_atom_site_fract_z
_atom_site_occupancy
Na1 Na 0.1357 0.8643 0.5000 1
Na2 Na 0.8643 0.1357 0.0000 1
Zr1 Zr 0.3296 0.6704 0.4584 1
Zr2 Zr 0.6704 0.3296 0.9584 1
S1 S 0.1041 0.8959 0.1173 1
S2 S 0.2541 0.7459 0.8080 1
S3 S 0.4283 0.5717 0.2400 1
S4 S 0.5717 0.4283 0.7400 1
S5 S 0.7459 0.2541 0.3080 1
S6 S 0.8959 0.1041 0.6173 1
```

The 12 most intense peaks (10° ≤ 2θ ≤ 80°), by angle:
15.74 deg, intensity 100
19.09 deg, intensity 23
22.89 deg, intensity 27
26.98 deg, intensity 23
27.31 deg, intensity 44
30.57 deg, intensity 44
36.29 deg, intensity 46
37.84 deg, intensity 28
38.63 deg, intensity 37
43.65 deg, intensity 31
45.70 deg, intensity 40
48.48 deg, intensity 22


No. 3
Computed powder diffractogram
Compound: La3ErPt2
Radiation: Cu Kα, 1.54184 Å
Structure: a cell relaxed with PBE
Lines closer than 0.1° are merged.

```
data_La3ErPt2
_space_group_name_H-M_alt 'P 1'
_space_group_IT_number 1
_cell_length_a 8.1835
_cell_length_b 8.1835
_cell_length_c 8.1835
_cell_angle_alpha 146.14
_cell_angle_beta 145.62
_cell_angle_gamma 49.03
loop_
_space_group_symop_operation_xyz
'x,y,z'
loop_
_atom_site_label
_atom_site_type_symbol
_atom_site_fract_x
_atom_site_fract_y
_atom_site_fract_z
_atom_site_occupancy
La1 La 0.0000 0.0000 0.0000 1
La2 La 0.3116 0.8116 0.5000 1
La3 La 0.6884 0.1884 0.5000 1
Er1 Er 0.5000 0.5000 0.0000 1
Pt1 Pt 0.1246 0.6246 0.5000 1
Pt2 Pt 0.8754 0.3754 0.5000 1
```

The 12 most intense peaks (10° ≤ 2θ ≤ 80°), by angle:
19.55 deg, intensity 18
26.25 deg, intensity 30
28.90 deg, intensity 94
35.39 deg, intensity 35
35.54 deg, intensity 28
35.80 deg, intensity 100
37.18 deg, intensity 45
37.75 deg, intensity 43
52.38 deg, intensity 18
52.70 deg, intensity 23
54.02 deg, intensity 31
66.13 deg, intensity 17


No. 4
Computed powder diffractogram
Compound: BaCaYSbO6
Radiation: Cu Kα, 1.54184 Å
Structure: a cell relaxed with PBE
Lines closer than 0.1° are merged.

```
data_BaCaYSbO6
_space_group_name_H-M_alt 'P 1'
_space_group_IT_number 1
_cell_length_a 5.9600
_cell_length_b 5.9600
_cell_length_c 5.9600
_cell_angle_alpha 60.00
_cell_angle_beta 60.00
_cell_angle_gamma 60.00
loop_
_space_group_symop_operation_xyz
'x,y,z'
loop_
_atom_site_label
_atom_site_type_symbol
_atom_site_fract_x
_atom_site_fract_y
_atom_site_fract_z
_atom_site_occupancy
Ba1 Ba 0.0000 0.0000 0.0000 1
Ca1 Ca 0.5000 0.5000 0.5000 1
Y1 Y 0.7500 0.7500 0.7500 1
Sb1 Sb 0.2500 0.2500 0.2500 1
O1 O 0.0130 0.0130 0.4870 1
O2 O 0.0130 0.4870 0.0130 1
O3 O 0.0130 0.4870 0.4870 1
O4 O 0.4870 0.0130 0.0130 1
O5 O 0.4870 0.0130 0.4870 1
O6 O 0.4870 0.4870 0.0130 1
```

The 12 most intense peaks (10° ≤ 2θ ≤ 80°), by angle:
18.23 deg, intensity 16
21.08 deg, intensity 5
29.99 deg, intensity 100
35.32 deg, intensity 9
42.92 deg, intensity 34
46.99 deg, intensity 4
53.24 deg, intensity 39
56.75 deg, intensity 3
62.31 deg, intensity 20
65.52 deg, intensity 3
70.68 deg, intensity 17
78.64 deg, intensity 7


No. 5
Computed powder diffractogram
Compound: CsRu5Se8
Radiation: Cu Kα, 1.54184 Å
Structure: a cell relaxed with PBE
Lines closer than 0.1° are merged.

```
data_CsRu5Se8
_space_group_name_H-M_alt 'P 1'
_space_group_IT_number 1
_cell_length_a 9.5125
_cell_length_b 9.5125
_cell_length_c 8.9702
_cell_angle_alpha 104.66
_cell_angle_beta 104.66
_cell_angle_gamma 22.55
loop_
_space_group_symop_operation_xyz
'x,y,z'
loop_
_atom_site_label
_atom_site_type_symbol
_atom_site_fract_x
_atom_site_fract_y
_atom_site_fract_z
_atom_site_occupancy
Cs1 Cs 0.0000 0.0000 0.0000 1
Ru1 Ru 0.1449 0.1449 0.4941 1
Ru2 Ru 0.1874 0.1874 0.8036 1
Ru3 Ru 0.4648 0.4648 0.5046 1
Ru4 Ru 0.7813 0.7813 0.1852 1
Ru5 Ru 0.8377 0.8377 0.5084 1
Se1 Se 0.0499 0.0499 0.6355 1
Se2 Se 0.2469 0.2469 0.3496 1
Se3 Se 0.3055 0.3055 0.0141 1
Se4 Se 0.3903 0.3903 0.6845 1
Se5 Se 0.5694 0.5694 0.3475 1
Se6 Se 0.6618 0.6618 0.9706 1
Se7 Se 0.7276 0.7276 0.6429 1
Se8 Se 0.9150 0.9150 0.3132 1
```

The 12 most intense peaks (10° ≤ 2θ ≤ 80°), by angle:
10.21 deg, intensity 56
12.21 deg, intensity 24
19.72 deg, intensity 41
31.40 deg, intensity 100
31.56 deg, intensity 39
32.71 deg, intensity 51
34.01 deg, intensity 27
39.28 deg, intensity 43
44.82 deg, intensity 22
45.30 deg, intensity 56
48.97 deg, intensity 49
50.41 deg, intensity 54


No. 6
Computed powder diffractogram
Compound: PrAl3Au2
Radiation: Cu Kα, 1.54184 Å
Structure: a cell relaxed with PBE
Lines closer than 0.1° are merged.

```
data_PrAl3Au2
_space_group_name_H-M_alt 'P 1'
_space_group_IT_number 1
_cell_length_a 8.7400
_cell_length_b 8.7400
_cell_length_c 10.2476
_cell_angle_alpha 104.24
_cell_angle_beta 104.24
_cell_angle_gamma 28.44
loop_
_space_group_symop_operation_xyz
'x,y,z'
loop_
_atom_site_label
_atom_site_type_symbol
_atom_site_fract_x
_atom_site_fract_y
_atom_site_fract_z
_atom_site_occupancy
Pr1 Pr 0.0000 0.0000 0.0000 1
Pr2 Pr 0.1583 0.1583 0.7055 1
Pr3 Pr 0.8417 0.8417 0.2945 1
Al1 Al 0.0433 0.0433 0.3608 1
Al2 Al 0.2123 0.2123 0.3754 1
Al3 Al 0.3368 0.3368 0.0435 1
Al4 Al 0.3717 0.3717 0.8030 1
Al5 Al 0.5000 0.5000 0.5000 1
Al6 Al 0.6283 0.6283 0.1970 1
Al7 Al 0.6632 0.6632 0.9565 1
Al8 Al 0.7877 0.7877 0.6246 1
Al9 Al 0.9567 0.9567 0.6392 1
Au1 Au 0.1988 0.1988 0.1140 1
Au2 Au 0.3518 0.3518 0.5418 1
Au3 Au 0.4763 0.4763 0.2234 1
Au4 Au 0.5237 0.5237 0.7766 1
Au5 Au 0.6482 0.6482 0.4582 1
Au6 Au 0.8012 0.8012 0.8860 1
```

The 12 most intense peaks (10° ≤ 2θ ≤ 80°), by angle:
24.42 deg, intensity 41
25.55 deg, intensity 58
26.40 deg, intensity 70
27.11 deg, intensity 84
29.59 deg, intensity 89
32.79 deg, intensity 61
33.56 deg, intensity 72
33.76 deg, intensity 86
34.41 deg, intensity 100
40.62 deg, intensity 34
42.09 deg, intensity 77
54.36 deg, intensity 35


No. 7
Computed powder diffractogram
Compound: Na3Tl3VBr8
Radiation: Cu Kα, 1.54184 Å
Structure: a cell relaxed with PBE
Lines closer than 0.1° are merged.

```
data_Na3Tl3VBr8
_space_group_name_H-M_alt 'P 1'
_space_group_IT_number 1
_cell_length_a 9.1980
_cell_length_b 9.1980
_cell_length_c 9.1980
_cell_angle_alpha 56.20
_cell_angle_beta 56.20
_cell_angle_gamma 56.20
loop_
_space_group_symop_operation_xyz
'x,y,z'
loop_
_atom_site_label
_atom_site_type_symbol
_atom_site_fract_x
_atom_site_fract_y
_atom_site_fract_z
_atom_site_occupancy
Na1 Na 0.0000 0.5000 0.5000 1
Na2 Na 0.5000 0.0000 0.5000 1
Na3 Na 0.5000 0.5000 0.0000 1
Tl1 Tl 0.0000 0.0000 0.5000 1
Tl2 Tl 0.0000 0.5000 0.0000 1
Tl3 Tl 0.5000 0.0000 0.0000 1
V1 V 0.0000 0.0000 0.0000 1
Br1 Br 0.2136 0.2136 0.7680 1
Br2 Br 0.2136 0.7680 0.2136 1
Br3 Br 0.2320 0.7864 0.7864 1
Br4 Br 0.2618 0.2618 0.2618 1
Br5 Br 0.7382 0.7382 0.7382 1
Br6 Br 0.7680 0.2136 0.2136 1
Br7 Br 0.7864 0.2320 0.7864 1
Br8 Br 0.7864 0.7864 0.2320 1
```

The 12 most intense peaks (10° ≤ 2θ ≤ 80°), by angle:
11.46 deg, intensity 10
12.40 deg, intensity 38
24.03 deg, intensity 25
28.35 deg, intensity 100
30.67 deg, intensity 30
34.87 deg, intensity 11
39.31 deg, intensity 32
41.69 deg, intensity 35
51.18 deg, intensity 17
55.45 deg, intensity 16
57.25 deg, intensity 10
68.07 deg, intensity 13